Computed powder diffraction line list of KH2I3O for λ = 1.5418 Å (Cu Kα), from a crystal structure in Alexandria, relaxed with GGA-PBE.
Lines closer than 0.1° are merged.

Peak list (12 most intense, 2θ = 10–80°, by angle)
13.1 deg, intensity 34
20.1 deg, intensity 20
20.3 deg, intensity 96
20.8 deg, intensity 29
21.5 deg, intensity 23
26.4 deg, intensity 100
27.3 deg, intensity 32
28.4 deg, intensity 86
35.5 deg, intensity 18
37.0 deg, intensity 32
38.1 deg, intensity 32
42.4 deg, intensity 19

Atomic structure:
a b c (Å): 4.733 10.109 9.815
angles (deg): 90.00 112.69 90.00
Fractional coordinates of all 14 atoms:
K: 0.000 0.238 0.000
K: 0.000 0.762 0.500
H: 0.324 0.200 0.756
H: 0.324 0.800 0.256
H: 0.355 0.351 0.787
H: 0.355 0.649 0.287
I: 0.628 0.029 0.633
I: 0.628 0.971 0.133
I: 0.637 0.239 0.426
I: 0.637 0.761 0.926
I: 0.655 0.449 0.217
I: 0.655 0.551 0.717
O: 0.355 0.266 0.834
O: 0.355 0.734 0.334

=====

Computed powder diffraction line list of CoRuRh4 for λ = 1.5418 Å (Cu Kα), from a crystal structure in Alexandria, relaxed with GGA-PBE.
Lines closer than 0.1° are merged.

Peak list (12 most intense, 2θ = 10–80°, by angle)
11.0 deg, intensity 2
23.5 deg, intensity 1
26.0 deg, intensity 1
32.5 deg, intensity 1
35.1 deg, intensity 1
40.2 deg, intensity 1
41.2 deg, intensity 100
47.8 deg, intensity 32
48.1 deg, intensity 16
69.8 deg, intensity 5
70.0 deg, intensity 5
70.2 deg, intensity 20

Atomic structure:
a b c (Å): 2.695 3.780 8.069
angles (deg): 90.00 90.00 90.00
Fractional coordinates of all 6 atoms:
Co: 0.000 0.000 0.000
Ru: 0.500 0.500 0.500
Rh: 0.000 0.000 0.333
Rh: 0.000 0.000 0.667
Rh: 0.500 0.500 0.160
Rh: 0.500 0.500 0.840

=====

Computed powder diffraction line list of Sm2BiTe5 for λ = 1.5418 Å (Cu Kα), from a crystal structure in Alexandria, relaxed with GGA-PBE.
Lines closer than 0.1° are merged.

Peak list (12 most intense, 2θ = 10–80°, by angle)
11.4 deg, intensity 69
15.3 deg, intensity 79
22.2 deg, intensity 69
28.0 deg, intensity 31
28.6 deg, intensity 92
29.9 deg, intensity 100
34.1 deg, intensity 43
36.5 deg, intensity 39
37.6 deg, intensity 26
40.4 deg, intensity 32
41.9 deg, intensity 81
48.8 deg, intensity 25

Atomic structure:
a b c (Å): 8.381 8.381 13.972
angles (deg): 90.00 90.00 136.24
Fractional coordinates of all 16 atoms:
Sm: 0.162 0.838 0.559
Sm: 0.162 0.838 0.941
Sm: 0.838 0.162 0.059
Sm: 0.838 0.162 0.441
Bi: 0.193 0.807 0.250
Bi: 0.807 0.193 0.750
Te: 0.033 0.967 0.112
Te: 0.033 0.967 0.388
Te: 0.266 0.734 0.750
Te: 0.322 0.678 0.077
Te: 0.322 0.678 0.423
Te: 0.678 0.322 0.577
Te: 0.678 0.322 0.923
Te: 0.734 0.266 0.250
Te: 0.967 0.033 0.612
Te: 0.967 0.033 0.888